Entry 1:
Starting from DFT lattice parameters and positions (GGA-PBE), the powder XRD pattern of LaPr7Hg2 was computed for a wavelength of 1.5418 Å.
Intensities are scaled so that the largest is 100.

Peak list (12 most intense, 10° ≤ 2θ ≤ 90°, by angle)
7.914 Å, I 27, hkl 0 2 0
5.548 Å, I 77, hkl 0 0 1
4.662 Å, I 38, hkl 2 0 0
4.565 Å, I 30, hkl 1 1 1
3.222 Å, I 52, hkl 0 4 1
3.017 Å, I 74, hkl 2 4 0
2.774 Å, I 71, hkl 0 0 2
2.674 Å, I 97, hkl 3 1 1
2.637 Å, I 100, hkl 1 5 1
2.042 Å, I 53, hkl 2 4 2
1.730 Å, I 28, hkl 2 8 1
1.543 Å, I 28, hkl 5 5 1

Structural model:
Cell: 9.3239 15.8287 5.5475 Å, 90.00 90.00 90.00°
Space group Cmmm (No. 65)
Unique sites:
1 La 0.0000 0.0000 0.0000 [2 per cell]
2 Pr 0.0000 0.2367 0.0000 [4 per cell]
3 Pr 0.0000 0.5000 0.5000 [2 per cell]
4 Pr 0.1821 0.1216 0.5000 [8 per cell]
5 Hg 0.0000 0.3054 0.5000 [4 per cell]



Entry 2:
Starting from DFT lattice parameters and positions (GGA-PBE), the powder XRD pattern of LuHfNb was computed for a wavelength of 1.5418 Å.
Intensities are scaled so that the largest is 100.

Peak list (12 most intense, 10° ≤ 2θ ≤ 90°, by angle)
3.438 Å, I 18, hkl 1 0 1
2.610 Å, I 10, hkl 0 0 4
2.575 Å, I 64, hkl 1 1 0
2.516 Å, I 100, hkl 1 0 3
1.833 Å, I 14, hkl 1 1 4
1.821 Å, I 23, hkl 2 0 0
1.475 Å, I 38, hkl 2 1 3
1.442 Å, I 10, hkl 1 1 6
1.380 Å, I 12, hkl 1 0 7
1.151 Å, I 10, hkl 3 1 0
1.146 Å, I 9, hkl 3 0 3
1.100 Å, I 12, hkl 2 1 7

Structural model:
Cell: 3.6411 3.6411 10.4402 Å, 90.00 90.00 90.00°
Space group I4mm (No. 107)
Unique sites:
1 Lu 0.0000 0.0000 0.0000 [2 per cell]
2 Hf 0.0000 0.0000 0.3000 [2 per cell]
3 Nb 0.0000 0.0000 0.6902 [2 per cell]



Entry 3:
Starting from DFT lattice parameters and positions (GGA-PBE), the powder XRD pattern of Ti3CuO8 was computed for a wavelength of 1.5418 Å.
Intensities are scaled so that the largest is 100.

Peak list (12 most intense, 10° ≤ 2θ ≤ 90°, by angle)
3.536 Å, I 100, hkl 1 0 1
2.450 Å, I 7, hkl 1 0 3
2.403 Å, I 19, hkl 0 0 4
2.347 Å, I 10, hkl 1 1 2
1.901 Å, I 28, hkl 2 0 0
1.716 Å, I 19, hkl 1 0 5
1.675 Å, I 19, hkl 2 1 1
1.491 Å, I 14, hkl 2 0 4
1.376 Å, I 8, hkl 1 1 6
1.345 Å, I 7, hkl 2 2 0
1.274 Å, I 12, hkl 2 1 5
1.173 Å, I 6, hkl 2 2 4

Structural model:
Cell: 3.8030 3.8030 9.6120 Å, 90.00 90.00 90.00°
Space group P-4m2 (No. 115)
Unique sites:
1 Ti 0.0000 0.0000 0.0000 [1 per cell]
2 Ti 0.0000 0.5000 0.2549 [2 per cell]
3 Cu 0.5000 0.5000 0.5000 [1 per cell]
4 O 0.0000 0.0000 0.2085 [2 per cell]
5 O 0.0000 0.5000 0.0443 [2 per cell]
6 O 0.0000 0.5000 0.4593 [2 per cell]
7 O 0.5000 0.5000 0.3015 [2 per cell]



What is the formula in the third record? Ti3CuO8